# BaCaLu2F10
Computed X-ray powder pattern, CuKα. Input: DFT lattice parameters and positions (PBE).
No peak broadening, texture or thermal motion is included.

The 8 most intense peaks (2θ = 5–70°), sorted by position:
2θ/deg  I (rel.)
15.12  14.7
26.79  100.0
30.51  14.5
31.30  27.7
44.27  32.4
44.85  16.6
51.99  20.4
53.02  35.4

Atomic structure:
abc: 8.187 8.187 8.187
angles: 120.83 120.83 88.57
Fractional positions:
Ba1 0.250 0.750 0.500
Ba2 0.750 0.250 0.500
Ca1 0.244 0.244 0.000
Ca2 0.756 0.756 0.000
Lu1 0.238 0.238 0.477
Lu2 0.238 0.762 0.000
Lu3 0.762 0.238 0.000
Lu4 0.762 0.762 0.523
F1 0.108 0.340 0.232
F2 0.108 0.876 0.768
F3 0.124 0.892 0.232
F4 0.164 0.164 0.651
F5 0.164 0.513 0.000
F6 0.168 0.500 0.668
F7 0.340 0.108 0.232
F8 0.487 0.487 0.651
F9 0.487 0.836 0.000
F10 0.500 0.168 0.668
F11 0.500 0.832 0.332
F12 0.513 0.164 0.000
F13 0.513 0.513 0.349
F14 0.660 0.892 0.768
F15 0.832 0.500 0.332
F16 0.836 0.487 0.000
F17 0.836 0.836 0.349
F18 0.876 0.108 0.768
F19 0.892 0.124 0.232
F20 0.892 0.660 0.768

***

# U13O34
Computed X-ray powder pattern, CuKα. Input: DFT lattice parameters and positions (PBE).
No peak broadening, texture or thermal motion is included.

The 8 most intense peaks (2θ = 5–70°), sorted by position:
2θ/deg  I (rel.)
21.34  91.5
25.75  54.0
26.20  100.0
33.68  40.3
34.03  75.8
45.68  26.6
50.94  30.8
51.46  32.8

Atomic structure:
abc: 4.164 25.623 25.623
angles: 164.48 90.00 90.00
Fractional positions:
U1 0.000 0.000 0.000
U2 0.000 0.010 0.859
U3 0.000 0.106 0.803
U4 0.000 0.189 0.720
U5 0.000 0.261 0.646
U6 0.000 0.342 0.580
U7 0.000 0.425 0.504
U8 0.000 0.504 0.425
U9 0.000 0.580 0.342
U10 0.000 0.646 0.261
U11 0.000 0.720 0.189
U12 0.000 0.803 0.106
U13 0.000 0.859 0.010
O1 0.000 0.042 0.494
O2 0.000 0.075 0.280
O3 0.000 0.104 0.191
O4 0.000 0.118 0.430
O5 0.000 0.152 0.768
O6 0.000 0.191 0.104
O7 0.000 0.280 0.075
O8 0.000 0.359 0.359
O9 0.000 0.414 0.867
O10 0.000 0.430 0.118
O11 0.000 0.484 0.802
O12 0.000 0.488 0.643
O13 0.000 0.494 0.042
O14 0.000 0.643 0.488
O15 0.000 0.687 0.916
O16 0.000 0.744 0.806
O17 0.000 0.768 0.152
O18 0.000 0.802 0.484
O19 0.000 0.806 0.744
O20 0.000 0.867 0.414
O21 0.000 0.916 0.687
O22 0.500 0.015 0.015
O23 0.500 0.113 0.812
O24 0.500 0.189 0.718
O25 0.500 0.264 0.649
O26 0.500 0.344 0.585
O27 0.500 0.428 0.505
O28 0.500 0.505 0.428
O29 0.500 0.585 0.344
O30 0.500 0.649 0.264
O31 0.500 0.718 0.189
O32 0.500 0.812 0.113
O33 0.500 0.850 0.999
O34 0.500 0.999 0.850

***

# Ba2CuF6
Computed X-ray powder pattern, CuKα. Input: DFT lattice parameters and positions (PBE).
No peak broadening, texture or thermal motion is included.

The 8 most intense peaks (2θ = 5–70°), sorted by position:
2θ/deg  I (rel.)
26.83  100.0
29.44  23.4
30.11  19.4
37.72  15.1
42.61  29.9
45.25  17.2
50.65  19.1
51.50  18.7

Atomic structure:
abc: 8.542 8.542 6.069
angles: 90.00 90.00 40.67
Fractional positions:
Ba1 0.151 0.151 0.000
Ba2 0.349 0.349 0.500
Ba3 0.651 0.651 0.500
Ba4 0.849 0.849 0.000
Cu1 0.000 0.000 0.500
Cu2 0.500 0.500 0.000
F1 0.002 0.498 0.750
F2 0.119 0.119 0.500
F3 0.211 0.789 0.843
F4 0.289 0.711 0.343
F5 0.381 0.381 0.000
F6 0.498 0.002 0.250
F7 0.502 0.998 0.750
F8 0.619 0.619 0.000
F9 0.711 0.289 0.657
F10 0.789 0.211 0.157
F11 0.881 0.881 0.500
F12 0.998 0.502 0.250

***

# SrHfO3
Computed X-ray powder pattern, CuKα. Input: DFT lattice parameters and positions (PBE).
No peak broadening, texture or thermal motion is included.

The 8 most intense peaks (2θ = 5–70°), sorted by position:
2θ/deg  I (rel.)
21.55  20.7
30.66  48.3
30.78  100.0
43.91  28.2
44.26  13.1
54.58  42.4
54.80  21.6
64.11  16.1

Atomic structure:
abc: 5.810 5.810 5.810
angles: 119.81 90.42 119.70
Fractional positions:
Sr1 0.259 0.009 0.250
Sr2 0.741 0.991 0.750
Hf1 0.000 0.500 0.500
Hf2 0.500 0.500 0.000
O1 0.175 0.425 0.750
O2 0.291 0.000 0.791
O3 0.291 0.500 0.291
O4 0.709 0.000 0.209
O5 0.709 0.500 0.709
O6 0.825 0.575 0.250

***

# LiAgF4
Computed X-ray powder pattern, CuKα. Input: DFT lattice parameters and positions (PBE).
No peak broadening, texture or thermal motion is included.

The 8 most intense peaks (2θ = 5–70°), sorted by position:
2θ/deg  I (rel.)
17.49  67.8
23.46  70.2
24.04  100.0
28.32  20.4
35.24  25.9
38.65  19.6
47.97  22.8
49.22  16.6

Atomic structure:
abc: 5.829 5.246 6.312
angles: 90.00 119.58 90.00
Fractional positions:
Li1 0.000 0.000 0.000
Li2 0.000 0.500 0.500
Ag1 0.500 0.000 0.500
Ag2 0.500 0.500 0.000
F1 0.163 0.190 0.361
F2 0.163 0.310 0.861
F3 0.337 0.672 0.680
F4 0.337 0.828 0.180
F5 0.663 0.172 0.820
F6 0.663 0.328 0.320
F7 0.837 0.690 0.139
F8 0.837 0.810 0.639

***

# Rb3Bi2I9
Computed X-ray powder pattern, CuKα. Input: DFT lattice parameters and positions (PBE).
No peak broadening, texture or thermal motion is included.

The 8 most intense peaks (2θ = 5–70°), sorted by position:
2θ/deg  I (rel.)
12.46  43.3
12.59  100.0
24.35  55.5
25.07  52.8
26.90  47.9
29.26  49.5
31.16  51.7
42.05  75.2

Atomic structure:
abc: 8.596 8.596 21.932
angles: 90.70 90.70 119.84
Fractional positions:
Rb1 0.003 0.997 0.750
Rb2 0.331 0.667 0.423
Rb3 0.333 0.669 0.077
Rb4 0.667 0.331 0.923
Rb5 0.669 0.333 0.577
Rb6 0.997 0.003 0.250
Bi1 0.324 0.655 0.844
Bi2 0.345 0.676 0.656
Bi3 0.655 0.324 0.344
Bi4 0.676 0.345 0.156
I1 0.002 0.504 0.257
I2 0.144 0.813 0.917
I3 0.150 0.308 0.910
I4 0.186 0.352 0.575
I5 0.187 0.856 0.583
I6 0.308 0.150 0.410
I7 0.352 0.186 0.075
I8 0.496 0.998 0.243
I9 0.497 0.503 0.250
I10 0.503 0.497 0.750
I11 0.504 0.002 0.757
I12 0.648 0.814 0.925
I13 0.692 0.850 0.590
I14 0.813 0.144 0.417
I15 0.814 0.648 0.425
I16 0.850 0.692 0.090
I17 0.856 0.187 0.083
I18 0.998 0.496 0.743

***

# Cs2RuAuF6
Computed X-ray powder pattern, CuKα. Input: DFT lattice parameters and positions (PBE).
No peak broadening, texture or thermal motion is included.

The 8 most intense peaks (2θ = 5–70°), sorted by position:
2θ/deg  I (rel.)
16.83  3.6
27.65  100.0
32.55  4.8
39.51  31.3
43.22  3.5
48.91  41.1
57.11  20.0
64.61  19.5

Atomic structure:
abc: 6.451 6.451 6.451
angles: 60.00 60.00 60.00
Fractional positions:
Cs1 0.250 0.250 0.250
Cs2 0.750 0.750 0.750
Ru1 0.000 0.000 0.000
Au1 0.500 0.500 0.500
F1 0.224 0.224 0.776
F2 0.224 0.776 0.224
F3 0.224 0.776 0.776
F4 0.776 0.224 0.224
F5 0.776 0.224 0.776
F6 0.776 0.776 0.224